No. 1
Calculated PXRD pattern of NaCr2S4 for Cu Ka, from the GGA-PBE geometry in the Materials Project.
Kinematic intensities with the Lorentz-polarization factor, no thermal factor.

The 10 most intense peaks (2θ from 5° to 70°), in order of falling intensity:
d (Å)	2θ/deg	I_rel
5.850	15.14	100
2.749	32.58	69
2.095	43.17	60
2.767	32.36	54
1.727	53.01	47
1.944	46.73	29
3.238	27.55	24
2.221	40.63	24
1.743	52.50	22
1.590	57.99	13

Crystal structure
```
14
Lattice="-3.8874 3.8874 4.4411 3.8874 -3.8874 4.4411 3.8874 3.8874 -4.4411" Properties=species:S:1:pos:R:3 pbc="T T T"
Na 3.8874 1.9437 1.1103
Na 0.0000 1.9437 3.3309
Cr 0.0000 0.0000 0.0000
Cr 1.9437 1.9437 -2.2206
Cr 1.9437 -1.9437 2.2206
Cr 0.0000 3.8874 0.0000
S 3.8874 -0.4762 2.1118
S 3.8874 3.4111 -2.1118
S 1.4675 1.9437 0.1087
S 2.4199 -1.9437 4.5499
S 1.4675 5.8311 -0.1087
S 2.4199 1.9437 4.3324
S 0.0000 0.4762 6.5530
S 0.0000 4.3636 2.3293
```

***

No. 2
Calculated PXRD pattern of NaCr2S4 for Cu Ka, from the GGA-PBE geometry in the Materials Project.
Kinematic intensities with the Lorentz-polarization factor, no thermal factor.

The 10 most intense peaks (2θ from 5° to 70°), in order of falling intensity:
d (Å)	2θ/deg	I_rel
6.001	14.76	100
2.598	34.52	90
1.837	49.62	79
3.134	28.48	60
2.000	45.34	57
1.757	52.06	16
1.500	61.85	14
1.455	63.97	14
3.675	24.22	12
1.353	69.47	11

Crystal structure
```
14
Lattice="0.0000 5.1966 5.1966 5.1966 0.0000 5.1966 5.1966 5.1966 0.0000" Properties=species:S:1:pos:R:3 pbc="T T T"
Na 1.2992 1.2992 1.2992
Na 9.0941 9.0941 9.0941
Cr 5.1966 2.5983 2.5983
Cr 2.5983 5.1966 2.5983
Cr 2.5983 2.5983 5.1966
Cr 5.1966 5.1966 5.1966
S 2.7995 2.7995 2.7995
S 4.9954 4.9954 2.7995
S 4.9954 2.7995 4.9954
S 7.5938 5.3978 5.3978
S 2.7995 4.9954 4.9954
S 5.3978 7.5938 5.3978
S 5.3978 5.3978 7.5938
S 7.5938 7.5938 7.5938
```

***

Question: Which formula does entry 2 have?
Answer: NaCr2S4